[1]
Theoretical powder diffraction line list of Tb2WO6 for Cu Kα (weighted mean of Kα1 and Kα2), from a cell relaxed with PBE+U.
Neutral-atom scattering factors, no anomalous dispersion.

The 12 most intense peaks (15° ≤ 2θ ≤ 90°), in order of falling intensity:
Position (°2θ)  I_rel  hkl
29.1  100  0 1 3
28.4  100  2 1 -1
48.9  35  2 2 -4
33.1  24  0 2 0
35.0  20  2 0 -4
31.9  20  2 0 2
46.6  17  2 2 2
59.6  12  2 1 -7
31.7  12  2 1 1
63.3  12  4 1 3
56.6  11  0 3 3
58.4  11  4 1 -5

Atomic structure:
```
36
Lattice="7.734 0.000 0.000 0.000 5.419 0.000 -2.879 0.000 11.161" Properties=species:S:1:pos:R:3 pbc="T T T"
Tb -0.720 0.994 2.790
Tb -2.159 4.425 8.371
Tb -0.360 1.687 10.295
Tb 1.080 3.732 4.714
Tb 3.147 1.289 2.790
Tb 1.708 4.130 8.371
Tb 3.775 1.687 6.447
Tb 5.214 3.732 0.866
W -0.054 1.332 6.850
W 1.385 4.087 1.269
W 3.470 1.332 9.892
W 4.909 4.087 4.312
O -2.480 0.740 9.909
O -1.041 4.679 4.329
O -0.265 1.906 5.050
O -1.704 3.513 10.631
O 0.961 2.636 2.551
O -0.478 2.783 8.132
O -0.009 0.200 8.607
O 1.430 5.220 3.026
O 2.517 0.132 0.774
O 1.078 5.287 6.354
O 1.646 2.498 6.741
O 3.085 2.921 1.160
O 1.770 2.498 10.001
O 3.209 2.921 4.420
O 3.777 0.132 4.807
O 2.338 5.287 10.387
O 3.425 0.200 8.135
O 4.864 5.220 2.554
O 5.333 2.636 3.029
O 3.894 2.783 8.610
O 6.559 1.906 0.530
O 5.120 3.513 6.111
O 5.896 0.740 6.832
O 7.335 4.679 1.252
```



[2]
Theoretical powder diffraction line list of TbWO5 for Cu Kα (weighted mean of Kα1 and Kα2), from a cell relaxed with PBE+U.
Neutral-atom scattering factors, no anomalous dispersion.

The 12 most intense peaks (15° ≤ 2θ ≤ 90°), in order of falling intensity:
Position (°2θ)  I_rel  hkl
20.0  100  1 1 0
27.3  93  1 3 -1
31.6  74  1 2 1
27.0  65  1 1 -2
22.5  63  1 2 -1
52.5  60  1 0 -4
28.1  53  1 3 0
26.1  52  1 0 -2
34.7  50  2 1 -1
31.2  44  0 4 1
44.6  40  0 6 1
28.5  38  0 0 2

Atomic structure:
```
28
Lattice="5.299 0.000 0.000 0.000 12.894 0.000 -3.174 0.000 6.273" Properties=species:S:1:pos:R:3 pbc="T T T"
Tb -0.168 0.726 1.777
Tb -1.755 5.721 4.914
Tb 3.879 7.173 1.359
Tb 2.292 12.168 4.496
W -0.647 1.793 5.297
W 0.940 4.654 2.161
W 1.184 8.240 4.113
W 2.771 11.101 0.976
O -1.663 1.148 3.564
O -0.076 5.299 0.427
O -2.070 0.877 6.084
O -0.483 5.570 2.947
O 0.089 8.290 2.671
O -1.498 11.051 5.807
O 0.615 2.912 1.848
O -0.972 3.535 4.985
O -0.064 7.354 5.285
O 1.523 11.987 2.149
O 0.602 0.907 4.125
O 2.189 5.540 0.988
O 3.096 9.359 1.289
O 1.509 9.982 4.425
O 3.622 1.843 0.466
O 2.035 4.604 3.603
O 2.607 7.324 3.326
O 4.194 12.017 0.189
O 2.201 7.595 5.847
O 3.788 11.746 2.710
```



[3]
Theoretical powder diffraction line list of Tb2WO6 for Cu Kα (weighted mean of Kα1 and Kα2), from a cell relaxed with PBE+U.
Neutral-atom scattering factors, no anomalous dispersion.

The 12 most intense peaks (15° ≤ 2θ ≤ 90°), in order of falling intensity:
Position (°2θ)  I_rel  hkl
25.9  100  1 1 1
30.5  75  1 1 -2
32.6  52  2 0 -1
47.1  38  0 2 3
22.8  22  1 1 0
33.0  19  0 2 0
59.5  18  1 1 -5
41.5  14  1 1 3
48.6  13  2 2 1
51.5  13  3 1 0
51.7  12  3 1 -1
57.4  12  1 3 -2

Atomic structure:
```
18
Lattice="5.659 0.000 0.000 0.000 5.423 0.000 -0.776 0.000 8.225" Properties=species:S:1:pos:R:3 pbc="T T T"
Tb -0.030 0.000 1.111
Tb 2.070 5.111 7.117
Tb 2.813 2.400 1.107
Tb 4.913 2.711 7.113
W 0.987 2.938 3.929
W 3.896 0.226 4.296
O -0.240 4.227 3.335
O 0.927 1.665 2.562
O 1.390 3.920 0.222
O 0.661 1.180 8.030
O 1.095 3.432 5.724
O 2.362 1.008 4.929
O 2.520 3.719 3.295
O 3.788 0.721 2.501
O 4.222 3.892 0.195
O 3.493 1.208 8.002
O 3.956 4.377 5.663
O 5.123 1.516 4.890
```